Entry 1:
This entry pairs a crystal structure of Zr2BIr6 with its theoretical powder X-ray diffraction pattern. Radiation: Cu Ka. Structure: a structure optimized by DFT (PBE).
Intensities are scaled so that the largest is 1000.

Largest 6 diffraction maxima, in order of rising 2θ, 2θ from 10° to 80°:
- (2 0 0), 21.8°, I = 72
- (2 2 0), 31.1°, I = 48
- (2 2 2), 38.3°, I = 1000
- (4 0 0), 44.5°, I = 502
- (4 4 0), 64.8°, I = 327
- (6 2 2), 77.8°, I = 377

Structural model:
Cell: 8.1401 8.1401 8.1401 Å, 90.00 90.00 90.00°
Space group Fm-3m (No. 225)
Asymmetric unit:
Zr  0.2500  0.2500  0.2500 x8
B  0.0000  0.0000  0.0000 x4
Ir  0.0000  0.0000  0.2582 x24

---

Entry 2:
This entry pairs a crystal structure of KO2F with its theoretical powder X-ray diffraction pattern. Radiation: Cu Ka. Structure: a structure optimized by DFT (PBE).
Intensities are scaled so that the largest is 1000.

Largest 6 diffraction maxima, in order of rising 2θ, 2θ from 10° to 80°:
- (0 0 2), 18.3°, I = 454
- (0 1 2), 29.0°, I = 520
- (1 1 0), 34.2°, I = 529
- (1 1 1), 35.5°, I = 910
- (0 0 4), 37.1°, I = 783
- (1 1 2), 39.1°, I = 1000

Structural model:
Cell: 3.4809 3.9799 9.7019 Å, 90.00 90.00 90.00°
Space group Pmc2_1 (No. 26)
Asymmetric unit:
K  0.0000  0.0962  0.0000 x2
O  0.0000  0.3674  0.7292 x2
O  0.5000  0.3143  0.2618 x2
F  0.5000  0.4073  0.4750 x2